The following is a simulated powder X-ray diffraction pattern of Al3VCo4. It was derived from a PBE-relaxed structure, using Cu Kα (weighted mean of Kα1 and Kα2).
Peak positions follow from Bragg's law for the DFT cell and can differ from measured ones.

Structural model:
```
data_Al3VCo4
_cell_length_a 2.847
_cell_length_b 2.847
_cell_length_c 11.608
_cell_angle_alpha 90.00
_cell_angle_beta 90.00
_cell_angle_gamma 90.00
_symmetry_space_group_name_H-M 'P 4/m m m'
_symmetry_Int_Tables_number 123
_symmetry_space_group_name_Hall '-P 4 2'
loop_
_atom_site_label
_atom_site_type_symbol
_atom_site_fract_x
_atom_site_fract_y
_atom_site_fract_z
_atom_site_occupancy
Al1 Al 0.000 0.000 0.000 1
Al2 Al 0.000 0.000 0.247 1
V1 V 0.000 0.000 0.500 1
Co1 Co 0.500 0.500 0.124 1
Co2 Co 0.500 0.500 0.375 1
```

Top 10 peaks for 2θ from 10° to 90°, low angle first:
Position (°2θ), I/Imax, index
15.27, 2, 0 0 2
30.81, 7, 0 0 4
31.42, 13, 1 0 0
44.59, 100, 1 0 4
45.04, 49, 1 1 0
55.56, 5, 1 1 4
64.18, 8, 0 0 8
65.59, 15, 2 0 0
81.83, 15, 1 1 8
82.79, 29, 2 1 4

---

The following is a simulated powder X-ray diffraction pattern of YAl8Co2. It was derived from a PBE-relaxed structure, using Cu Kα (weighted mean of Kα1 and Kα2).
Peak positions follow from Bragg's law for the DFT cell and can differ from measured ones.

Structural model:
```
data_YAl8Co2
_cell_length_a 12.407
_cell_length_b 14.370
_cell_length_c 3.958
_cell_angle_alpha 90.00
_cell_angle_beta 90.00
_cell_angle_gamma 90.00
_symmetry_space_group_name_H-M 'P b a m'
_symmetry_Int_Tables_number 55
_symmetry_space_group_name_Hall '-P 2 2ab'
loop_
_atom_site_label
_atom_site_type_symbol
_atom_site_fract_x
_atom_site_fract_y
_atom_site_fract_z
_atom_site_occupancy
Y1 Y 0.159 0.180 0.000 1
Al1 Al 0.000 0.000 0.000 1
Al2 Al 0.000 0.500 0.500 1
Al3 Al 0.025 0.868 0.500 1
Al4 Al 0.047 0.320 0.500 1
Al5 Al 0.097 0.747 0.000 1
Al6 Al 0.159 0.456 0.000 1
Al7 Al 0.161 0.622 0.500 1
Al8 Al 0.169 0.009 0.500 1
Al9 Al 0.237 0.826 0.500 1
Co1 Co 0.035 0.595 0.000 1
Co2 Co 0.153 0.904 0.000 1
```

Top 10 peaks for 2θ from 10° to 90°, low angle first:
Position (°2θ), I/Imax, index
22.41, 92, 0 0 1
23.46, 29, 2 3 0
34.48, 82, 1 4 1
36.60, 100, 3 3 1
37.36, 36, 4 1 1
44.37, 40, 5 4 0
44.71, 32, 3 5 1
44.91, 34, 5 2 1
45.85, 62, 0 0 2
46.61, 44, 2 7 0

---

The following is a simulated powder X-ray diffraction pattern of YAl2Co9. It was derived from a PBE-relaxed structure, using Cu Kα (weighted mean of Kα1 and Kα2).
Peak positions follow from Bragg's law for the DFT cell and can differ from measured ones.

Structural model:
```
data_YAl2Co9
_cell_length_a 8.050
_cell_length_b 8.050
_cell_length_c 4.698
_cell_angle_alpha 90.00
_cell_angle_beta 90.00
_cell_angle_gamma 90.00
_symmetry_space_group_name_H-M 'P 4/m b m'
_symmetry_Int_Tables_number 127
_symmetry_space_group_name_Hall '-P 4 2ab'
loop_
_atom_site_label
_atom_site_type_symbol
_atom_site_fract_x
_atom_site_fract_y
_atom_site_fract_z
_atom_site_occupancy
Y1 Y 0.000 0.000 0.000 1
Al1 Al 0.121 0.379 0.000 1
Co1 Co 0.000 0.500 0.500 1
Co2 Co 0.068 0.211 0.500 1
Co3 Co 0.176 0.676 0.235 1
```

Top 10 peaks for 2θ from 10° to 90°, low angle first:
Position (°2θ), I/Imax, index
18.89, 28, 0 0 1
36.93, 32, 2 2 1
40.29, 100, 3 1 1
44.67, 42, 2 0 2
44.96, 33, 3 2 1
46.14, 78, 2 1 2
46.51, 71, 4 1 0
47.94, 18, 3 3 0
50.68, 38, 4 2 0
87.08, 20, 6 2 2